(1)
The following is a theoretical powder diffraction line list of Pm2B4Ru5. It was derived from a crystal structure in Alexandria, relaxed with GGA-PBE, using Cu Kα (weighted mean of Kα1 and Kα2).

```
data_Pm2B4Ru5
_space_group_name_H-M_alt 'P 1'
_space_group_IT_number 1
_cell_length_a 7.5604
_cell_length_b 6.4208
_cell_length_c 5.6010
_cell_angle_alpha 77.61
_cell_angle_beta 56.05
_cell_angle_gamma 46.35
loop_
_space_group_symop_operation_xyz
'x,y,z'
loop_
_atom_site_label
_atom_site_type_symbol
_atom_site_fract_x
_atom_site_fract_y
_atom_site_fract_z
Pm1 Pm 0.1424 0.1424 0.8576
Pm2 Pm 0.8576 0.8576 0.1424
B1 B 0.2034 0.5360 0.4640
B2 B 0.4640 0.7966 0.2034
B3 B 0.5360 0.2034 0.7966
B4 B 0.7966 0.4640 0.5360
Ru1 Ru 0.0000 0.0000 0.5000
Ru2 Ru 0.2500 0.2500 0.2500
Ru3 Ru 0.5000 0.5000 0.0000
Ru4 Ru 0.5000 0.5000 0.5000
Ru5 Ru 0.7500 0.7500 0.7500
```

Top 10 peaks for 2θ from 10° to 80°, by angle:
2theta	Rel. int.
29.64	73
36.11	54
36.97	51
37.27	100
39.77	40
45.24	33
55.42	13
59.79	25
66.81	20
76.81	19



(2)
The following is a theoretical powder diffraction line list of TmGa3I6. It was derived from a crystal structure in Alexandria, relaxed with GGA-PBE, using Cu Kα (weighted mean of Kα1 and Kα2).

```
data_TmGa3I6
_space_group_name_H-M_alt 'P 1'
_space_group_IT_number 1
_cell_length_a 7.8189
_cell_length_b 8.8622
_cell_length_c 13.6617
_cell_angle_alpha 90.00
_cell_angle_beta 121.84
_cell_angle_gamma 90.00
loop_
_space_group_symop_operation_xyz
'x,y,z'
loop_
_atom_site_label
_atom_site_type_symbol
_atom_site_fract_x
_atom_site_fract_y
_atom_site_fract_z
Tm1 Tm 0.0000 0.0000 0.0000
Tm2 Tm 0.0000 0.5000 0.5000
Ga1 Ga 0.3230 0.1099 0.8042
Ga2 Ga 0.3230 0.3901 0.3042
Ga3 Ga 0.5000 0.0000 0.5000
Ga4 Ga 0.5000 0.5000 0.0000
Ga5 Ga 0.6770 0.6099 0.6958
Ga6 Ga 0.6770 0.8901 0.1958
I1 I 0.0936 0.0576 0.2403
I2 I 0.0936 0.4424 0.7403
I3 I 0.2445 0.7137 0.0805
I4 I 0.2445 0.7863 0.5805
I5 I 0.3698 0.1717 0.0499
I6 I 0.3698 0.3283 0.5499
I7 I 0.6302 0.6717 0.4501
I8 I 0.6302 0.8283 0.9501
I9 I 0.7555 0.2137 0.4195
I10 I 0.7555 0.2863 0.9195
I11 I 0.9064 0.5576 0.2597
I12 I 0.9064 0.9424 0.7597
```

Top 10 peaks for 2θ from 10° to 80°, by angle:
2theta	Rel. int.
12.57	92
24.92	89
25.73	59
26.24	100
27.45	69
28.14	80
32.40	89
33.73	56
38.52	62
40.01	58



(3)
The following is a theoretical powder diffraction line list of ZrP3O9. It was derived from a crystal structure in Alexandria, relaxed with GGA-PBE, using Cu Kα (weighted mean of Kα1 and Kα2).

```
data_ZrP3O9
_space_group_name_H-M_alt 'P 1'
_space_group_IT_number 1
_cell_length_a 7.8192
_cell_length_b 7.8192
_cell_length_c 10.2207
_cell_angle_alpha 123.29
_cell_angle_beta 123.29
_cell_angle_gamma 51.89
loop_
_space_group_symop_operation_xyz
'x,y,z'
loop_
_atom_site_label
_atom_site_type_symbol
_atom_site_fract_x
_atom_site_fract_y
_atom_site_fract_z
Zr1 Zr 0.2409 0.7591 0.5000
Zr2 Zr 0.7591 0.2409 0.0000
P1 P 0.0480 0.2521 0.8350
P2 P 0.2521 0.0480 0.3350
P3 P 0.2565 0.4522 0.6695
P4 P 0.4522 0.2565 0.1695
P5 P 0.6696 0.8228 0.2386
P6 P 0.8228 0.6696 0.7386
O1 O 0.0942 0.1539 0.1995
O2 O 0.1539 0.0942 0.6995
O3 O 0.1997 0.8991 0.3420
O4 O 0.2327 0.3000 0.0112
O5 O 0.2619 0.6334 0.6596
O6 O 0.3000 0.2327 0.5112
O7 O 0.3790 0.4098 0.3209
O8 O 0.4098 0.3790 0.8209
O9 O 0.5103 0.8980 0.3289
O10 O 0.5313 0.9932 0.1368
O11 O 0.5901 0.7006 0.6136
O12 O 0.6334 0.2619 0.1596
O13 O 0.7006 0.5901 0.1136
O14 O 0.8446 0.8831 0.8706
O15 O 0.8831 0.8446 0.3706
O16 O 0.8980 0.5103 0.8289
O17 O 0.8991 0.1997 0.8420
O18 O 0.9932 0.5313 0.6368
```

Top 10 peaks for 2θ from 10° to 80°, by angle:
2theta	Rel. int.
15.64	18
17.54	16
21.44	100
23.29	14
24.16	32
25.46	14
29.54	17
30.67	16
35.54	11
41.83	10



(4)
The following is a theoretical powder diffraction line list of Zn2Cd. It was derived from a crystal structure in Alexandria, relaxed with GGA-PBE, using Cu Kα (weighted mean of Kα1 and Kα2).

```
data_Zn2Cd
_space_group_name_H-M_alt 'P 1'
_space_group_IT_number 1
_cell_length_a 10.7151
_cell_length_b 2.9139
_cell_length_c 6.9517
_cell_angle_alpha 90.00
_cell_angle_beta 97.13
_cell_angle_gamma 90.00
loop_
_space_group_symop_operation_xyz
'x,y,z'
loop_
_atom_site_label
_atom_site_type_symbol
_atom_site_fract_x
_atom_site_fract_y
_atom_site_fract_z
Zn1 Zn 0.0000 0.0000 0.0000
Zn2 Zn 0.0930 0.0000 0.6654
Zn3 Zn 0.2254 0.5000 0.9375
Zn4 Zn 0.3596 0.0000 0.2175
Zn5 Zn 0.5000 0.5000 0.0000
Zn6 Zn 0.5930 0.5000 0.6654
Zn7 Zn 0.7254 0.0000 0.9375
Zn8 Zn 0.8596 0.5000 0.2175
Cd1 Cd 0.1393 0.5000 0.3326
Cd2 Cd 0.3628 0.0000 0.6371
Cd3 Cd 0.6393 0.0000 0.3326
Cd4 Cd 0.8628 0.5000 0.6371
```

Top 10 peaks for 2θ from 10° to 80°, by angle:
2theta	Rel. int.
29.06	20
32.65	30
34.87	65
37.75	41
39.18	47
40.06	89
40.18	53
40.75	100
59.71	20
78.21	23



(5)
The following is a theoretical powder diffraction line list of PrDyCu2Se4. It was derived from a crystal structure in Alexandria, relaxed with GGA-PBE, using Cu Kα (weighted mean of Kα1 and Kα2).

```
data_PrDyCu2Se4
_space_group_name_H-M_alt 'P 1'
_space_group_IT_number 1
_cell_length_a 6.8283
_cell_length_b 7.0311
_cell_length_c 8.0267
_cell_angle_alpha 90.00
_cell_angle_beta 90.00
_cell_angle_gamma 90.00
loop_
_space_group_symop_operation_xyz
'x,y,z'
loop_
_atom_site_label
_atom_site_type_symbol
_atom_site_fract_x
_atom_site_fract_y
_atom_site_fract_z
Pr1 Pr 0.0000 0.0000 0.0000
Pr2 Pr 0.5000 0.5000 0.5000
Dy1 Dy 0.0000 0.0000 0.5000
Dy2 Dy 0.5000 0.5000 0.0000
Cu1 Cu 0.0000 0.5000 0.1562
Cu2 Cu 0.0000 0.5000 0.8438
Cu3 Cu 0.5000 0.0000 0.3438
Cu4 Cu 0.5000 0.0000 0.6562
Se1 Se 0.2463 0.2232 0.3051
Se2 Se 0.2463 0.7768 0.6949
Se3 Se 0.2537 0.2768 0.8051
Se4 Se 0.2537 0.7232 0.1949
Se5 Se 0.7463 0.2768 0.1949
Se6 Se 0.7463 0.7232 0.8051
Se7 Se 0.7537 0.2232 0.6949
Se8 Se 0.7537 0.7768 0.3051
```

Top 10 peaks for 2θ from 10° to 80°, by angle:
2theta	Rel. int.
18.11	25
28.76	100
33.90	45
34.49	46
36.69	87
46.82	25
47.72	25
49.06	36
62.42	15
63.17	16



(6)
The following is a theoretical powder diffraction line list of PuTl2IrO6. It was derived from a crystal structure in Alexandria, relaxed with GGA-PBE, using Cu Kα (weighted mean of Kα1 and Kα2).

```
data_PuTl2IrO6
_space_group_name_H-M_alt 'P 1'
_space_group_IT_number 1
_cell_length_a 6.7694
_cell_length_b 6.7694
_cell_length_c 6.7694
_cell_angle_alpha 129.95
_cell_angle_beta 129.95
_cell_angle_gamma 73.49
loop_
_space_group_symop_operation_xyz
'x,y,z'
loop_
_atom_site_label
_atom_site_type_symbol
_atom_site_fract_x
_atom_site_fract_y
_atom_site_fract_z
Pu1 Pu 0.0000 0.0000 0.0000
Tl1 Tl 0.2500 0.7500 0.5000
Tl2 Tl 0.7500 0.2500 0.5000
Ir1 Ir 0.5000 0.5000 0.0000
O1 O 0.1731 0.1731 0.0000
O2 O 0.2654 0.2654 0.5308
O3 O 0.2654 0.7346 0.0000
O4 O 0.7346 0.2654 0.0000
O5 O 0.7346 0.7346 0.4692
O6 O 0.8269 0.8269 0.0000
```

Top 10 peaks for 2θ from 10° to 80°, by angle:
2theta	Rel. int.
27.49	100
31.24	35
33.03	19
44.76	18
46.10	22
53.33	33
55.67	16
56.74	16
72.10	7
74.09	14